[1]
The following is a calculated XRD peak list of Si8H. It was derived from a crystal structure in Alexandria, relaxed with PBE, using CuKα.

Atomic structure:
Cell: 6.5834 3.9181 6.7907 Å, 90.00 110.00 90.00°
Atoms (fractional coordinates):
Si1 0.0000 0.0000 0.0000
Si2 0.0040 0.5000 0.4737
Si3 0.0803 0.5000 0.8449
Si4 0.1373 0.0000 0.3659
Si5 0.4858 0.5000 0.9787
Si6 0.5168 0.0000 0.4912
Si7 0.6160 0.0000 0.8624
Si8 0.6215 0.5000 0.3521
H1 0.8160 0.5000 0.7556

Peak list (8 most intense, 5° ≤ 2θ ≤ 70°, low angle first)
| two_theta | d (Å) | Rel. int. |
| --- | --- | --- |
| 27.99 | 3.188 | 100 |
| 28.86 | 3.093 | 36 |
| 46.33 | 1.960 | 49 |
| 47.47 | 1.915 | 41 |
| 55.00 | 1.669 | 13 |
| 55.51 | 1.655 | 30 |
| 56.51 | 1.628 | 9 |
| 68.50 | 1.370 | 14 |

[2]
The following is a calculated XRD peak list of Ti2CrRh7. It was derived from a crystal structure in Alexandria, relaxed with PBE, using CuKα.

Atomic structure:
Cell: 8.3488 8.3488 2.7882 Å, 90.00 90.00 122.84°
Atoms (fractional coordinates):
Ti1 0.1722 0.8278 0.0000
Ti2 0.8278 0.1722 0.0000
Cr1 0.5000 0.5000 0.5000
Rh1 0.0000 0.0000 0.0000
Rh2 0.1893 0.3756 0.0000
Rh3 0.3088 0.6912 0.5000
Rh4 0.3756 0.1893 0.0000
Rh5 0.6244 0.8107 0.0000
Rh6 0.6912 0.3088 0.5000
Rh7 0.8107 0.6244 0.0000

Peak list (8 most intense, 5° ≤ 2θ ≤ 70°, low angle first)
| two_theta | d (Å) | Rel. int. |
| --- | --- | --- |
| 25.39 | 3.507 | 32 |
| 33.17 | 2.701 | 67 |
| 34.41 | 2.606 | 36 |
| 39.41 | 2.286 | 50 |
| 43.41 | 2.085 | 100 |
| 45.42 | 1.997 | 45 |
| 46.35 | 1.959 | 77 |
| 47.63 | 1.909 | 64 |